Structure and theoretical powder diffraction line list of InAgGeTe2Se (a crystal structure in OQMD, relaxed with GGA-PBE; Cu Kα).
Intensities are scaled so that the largest is 100.

Cell and atoms:
```
data_InAgGeTe2Se
_symmetry_space_group_name_H-M 'C m c m'
_symmetry_Int_Tables_number 63
_symmetry_space_group_name_Hall '-C 2c 2'
_cell_length_a 4.055
_cell_length_b 13.711
_cell_length_c 11.241
_cell_angle_alpha 90.00
_cell_angle_beta 90.00
_cell_angle_gamma 90.00
loop_
_atom_site_label
_atom_site_type_symbol
_atom_site_fract_x
_atom_site_fract_y
_atom_site_fract_z
In1 In 0.000 0.239 0.250
Ag1 Ag 0.000 0.481 0.750
Ge1 Ge 0.000 0.000 0.000
Te1 Te 0.000 0.351 0.558
Se1 Se 0.000 0.108 0.750
```

Most intense lines, 2θ from 10° to 90°, in order of falling intensity:
2theta	I/Imax
33.57	100
30.53	66
27.13	33
33.20	32
31.84	28
44.70	26
50.53	18
42.95	13
42.71	12
46.55	12
57.69	12
63.56	11

Structure and theoretical powder diffraction line list of Ga2TcTe (a crystal structure in OQMD, relaxed with GGA-PBE; Cu Kα).
Intensities are scaled so that the largest is 100.

Cell and atoms:
```
data_Ga2TcTe
_symmetry_space_group_name_H-M 'F -4 3 m'
_symmetry_Int_Tables_number 216
_symmetry_space_group_name_Hall 'F -4 2 3'
_cell_length_a 6.632
_cell_length_b 6.632
_cell_length_c 6.632
_cell_angle_alpha 90.00
_cell_angle_beta 90.00
_cell_angle_gamma 90.00
loop_
_atom_site_label
_atom_site_type_symbol
_atom_site_fract_x
_atom_site_fract_y
_atom_site_fract_z
Ga1 Ga 0.000 0.000 0.000
Ga2 Ga 0.250 0.250 0.250
Tc1 Tc 0.250 0.250 0.750
Te1 Te 0.000 0.000 0.500
```

Most intense lines, 2θ from 10° to 90°, in order of falling intensity:
2theta	I/Imax
38.39	100
69.43	34
55.42	17
82.23	10
23.23	6
45.35	3
60.89	1
86.90	1
74.32	1

Structure and theoretical powder diffraction line list of Rb2ZrAg2SeS3 (a crystal structure in OQMD, relaxed with GGA-PBE; Cu Kα).
Intensities are scaled so that the largest is 100.

Cell and atoms:
```
data_Rb2ZrAg2SeS3
_symmetry_space_group_name_H-M 'P 1'
_symmetry_Int_Tables_number 1
_symmetry_space_group_name_Hall 'P 1'
_cell_length_a 6.162
_cell_length_b 6.179
_cell_length_c 7.552
_cell_angle_alpha 66.00
_cell_angle_beta 89.65
_cell_angle_gamma 89.56
loop_
_atom_site_label
_atom_site_type_symbol
_atom_site_fract_x
_atom_site_fract_y
_atom_site_fract_z
Rb1 Rb 0.000 0.000 0.000
Rb2 Rb 0.477 0.500 0.000
Zr1 Zr 0.739 0.498 0.504
Ag1 Ag 0.237 0.491 0.506
Ag2 Ag 0.745 0.999 0.507
Se1 Se 0.503 0.847 0.280
S1 S 0.514 0.171 0.713
S2 S 0.962 0.617 0.715
S3 S 0.966 0.375 0.297
```

Most intense lines, 2θ from 10° to 90°, in order of falling intensity:
2theta	I/Imax
31.75	100
28.15	88
12.83	51
49.34	43
49.50	36
31.85	34
41.22	33
41.56	33
25.83	29
21.43	27
28.31	26
15.72	26

Structure and theoretical powder diffraction line list of Nd3TeSe2 (a crystal structure in OQMD, relaxed with GGA-PBE; Cu Kα).
Intensities are scaled so that the largest is 100.

Cell and atoms:
```
data_Nd3TeSe2
_symmetry_space_group_name_H-M 'P -3 m 1'
_symmetry_Int_Tables_number 164
_symmetry_space_group_name_Hall '-P 3 2"'
_cell_length_a 4.3114
_cell_length_b 4.3114
_cell_length_c 10.5864
_cell_angle_alpha 90.00
_cell_angle_beta 90.00
_cell_angle_gamma 120.00
loop_
_atom_site_label
_atom_site_type_symbol
_atom_site_fract_x
_atom_site_fract_y
_atom_site_fract_z
Nd1 Nd 0.0000 0.0000 0.0000
Nd2 Nd 0.3333 0.6667 0.3120
Te1 Te 0.0000 0.0000 0.5000
Se1 Se 0.3333 0.6667 0.8419
```

Most intense lines, 2θ from 10° to 90°, in order of falling intensity:
2theta	I/Imax
29.27	100
41.87	72
51.94	20
76.52	18
68.85	17
68.75	13
60.71	11
25.28	10
51.82	5
76.35	5
49.54	5
34.99	4

Structure and theoretical powder diffraction line list of Li2Mg3ZnAu2 (a crystal structure in OQMD, relaxed with GGA-PBE; Cu Kα).
Intensities are scaled so that the largest is 100.

Cell and atoms:
```
data_Li2Mg3ZnAu2
_symmetry_space_group_name_H-M 'P -4 m 2'
_symmetry_Int_Tables_number 115
_symmetry_space_group_name_Hall 'P -4 -2'
_cell_length_a 4.560
_cell_length_b 4.560
_cell_length_c 6.479
_cell_angle_alpha 90.00
_cell_angle_beta 90.00
_cell_angle_gamma 90.00
loop_
_atom_site_label
_atom_site_type_symbol
_atom_site_fract_x
_atom_site_fract_y
_atom_site_fract_z
Li1 Li 0.000 0.500 0.232
Mg1 Mg 0.000 0.000 0.000
Mg2 Mg 0.000 0.000 0.500
Mg3 Mg 0.500 0.500 0.500
Zn1 Zn 0.500 0.500 0.000
Au1 Au 0.000 0.500 0.754
```

Most intense lines, 2θ from 10° to 90°, in order of falling intensity:
2theta	I/Imax
23.86	100
39.46	85
46.70	35
71.63	19
46.53	17
27.67	15
62.66	15
71.44	10
57.13	10
76.79	8
27.53	8
62.79	7

Structure and theoretical powder diffraction line list of ZnSn2Te2F2 (a crystal structure in OQMD, relaxed with GGA-PBE; Cu Kα).
Intensities are scaled so that the largest is 100.

Cell and atoms:
```
data_ZnSn2Te2F2
_symmetry_space_group_name_H-M 'P -4 m 2'
_symmetry_Int_Tables_number 115
_symmetry_space_group_name_Hall 'P -4 -2'
_cell_length_a 4.108
_cell_length_b 4.108
_cell_length_c 9.491
_cell_angle_alpha 90.00
_cell_angle_beta 90.00
_cell_angle_gamma 90.00
loop_
_atom_site_label
_atom_site_type_symbol
_atom_site_fract_x
_atom_site_fract_y
_atom_site_fract_z
Zn1 Zn 0.000 0.000 0.000
Sn1 Sn 0.000 0.500 0.346
Te1 Te 0.000 0.500 0.822
F1 F 0.000 0.000 0.500
F2 F 0.500 0.500 0.500
```

Most intense lines, 2θ from 10° to 90°, in order of falling intensity:
2theta	I/Imax
28.74	100
44.08	60
36.26	37
53.49	36
30.78	33
64.11	29
75.93	18
49.61	15
85.14	10
88.19	9
71.74	8
67.42	7

Structure and theoretical powder diffraction line list of Y2Au5F21 (a crystal structure in OQMD, relaxed with GGA-PBE; Cu Kα).
Intensities are scaled so that the largest is 100.

Cell and atoms:
```
data_Y2Au5F21
_symmetry_space_group_name_H-M 'P 1 2/c 1'
_symmetry_Int_Tables_number 13
_symmetry_space_group_name_Hall '-P 2yc'
_cell_length_a 8.604
_cell_length_b 7.760
_cell_length_c 14.103
_cell_angle_alpha 90.00
_cell_angle_beta 125.75
_cell_angle_gamma 90.00
loop_
_atom_site_label
_atom_site_type_symbol
_atom_site_fract_x
_atom_site_fract_y
_atom_site_fract_z
Y1 Y 0.184 0.184 0.498
Au1 Au 0.130 0.315 0.892
Au2 Au 0.317 0.066 0.293
Au3 Au 0.500 0.446 0.250
F1 F 0.000 0.000 0.000
F2 F 0.016 0.338 0.541
F3 F 0.106 0.211 0.176
F4 F 0.119 0.436 0.390
F5 F 0.131 0.061 0.880
F6 F 0.265 0.322 0.821
F7 F 0.308 0.108 0.689
F8 F 0.336 0.235 0.402
F9 F 0.378 0.270 0.129
F10 F 0.390 0.387 0.622
F11 F 0.465 0.055 0.576
```

Most intense lines, 2θ from 10° to 90°, in order of falling intensity:
2theta	I/Imax
23.66	100
25.24	90
25.16	69
26.29	54
15.38	40
27.78	39
28.33	39
26.03	39
28.76	37
28.02	29
51.71	27
42.03	26

Structure and theoretical powder diffraction line list of Y2FeSe4 (a crystal structure in OQMD, relaxed with GGA-PBE; Cu Kα).
Intensities are scaled so that the largest is 100.

Cell and atoms:
a b c (Å): 11.478 11.478 11.478
angles (deg): 90.00 90.00 90.00
Space group Fd-3m (No. 227, origin choice 2)
Symmetry-distinct sites (fractional):
Y  0.000  0.000  0.000 [16 per cell]
Fe  0.125  0.125  0.625 [8 per cell]
Se  0.000  0.000  0.250 [32 per cell]

Most intense lines, 2θ from 10° to 90°, in order of falling intensity:
2theta	I/Imax
44.66	100
31.17	86
25.74	52
82.31	33
73.85	28
55.46	22
40.85	19
26.91	16
65.00	16
62.12	12
13.36	11
21.90	8

Structure and theoretical powder diffraction line list of Y2PdO4 (a crystal structure in OQMD, relaxed with GGA-PBE; Cu Kα).
Intensities are scaled so that the largest is 100.

Cell and atoms:
```
data_Y2PdO4
_symmetry_space_group_name_H-M 'P b c a'
_symmetry_Int_Tables_number 61
_symmetry_space_group_name_Hall '-P 2ac 2ab'
_cell_length_a 5.565
_cell_length_b 5.592
_cell_length_c 11.897
_cell_angle_alpha 90.00
_cell_angle_beta 90.00
_cell_angle_gamma 90.00
loop_
_atom_site_label
_atom_site_type_symbol
_atom_site_fract_x
_atom_site_fract_y
_atom_site_fract_z
Y1 Y 0.009 0.037 0.159
Pd1 Pd 0.000 0.000 0.500
O1 O 0.178 0.679 0.510
O2 O 0.242 0.212 0.756
```

Most intense lines, 2θ from 10° to 90°, in order of falling intensity:
2theta	I/Imax
32.00	100
57.05	23
46.02	19
57.25	18
32.17	15
66.92	10
45.76	8
56.94	8
75.92	6
76.28	6
67.30	3
54.14	3